Computed X-ray diffraction stick pattern
Compound: NdTm2Al6
Radiation: a wavelength of 1.5418 Å
Structure: a crystal structure in Alexandria, relaxed with PBE
No peak broadening, texture or thermal motion is included.

Peak list (10 most intense, 15 to 90 degrees two-theta, in order of rising 2θ)
22.42 deg, I 73, (1 1 0)
25.56 deg, I 11, (0 0 1)
34.26 deg, I 100, (1 1 1)
39.36 deg, I 45, (3 0 0)
45.76 deg, I 11, (2 2 0)
47.52 deg, I 13, (3 0 1)
53.15 deg, I 29, (2 2 1)
57.80 deg, I 11, (1 1 2)
67.56 deg, I 18, (3 0 2)
68.10 deg, I 27, (4 1 1)

Crystal structure
abc: 7.9307 7.9307 3.4850
angles: 90.00 90.00 120.00
Atoms (fractional coordinates):
1 Nd 0.0000 0.0000 0.0000
2 Tm 0.3333 0.6667 0.0000
3 Tm 0.6667 0.3333 0.0000
4 Al 0.0000 0.3361 0.5000
5 Al 0.0000 0.6639 0.5000
6 Al 0.3361 0.0000 0.5000
7 Al 0.3361 0.3361 0.5000
8 Al 0.6639 0.0000 0.5000
9 Al 0.6639 0.6639 0.5000